[1]
Diffraction record for GdTc5. The powder diffraction line list is theoretical, not measured: it uses a structure optimized by DFT (PBE) and Cu Kα.
Intensities are scaled so that the largest is 100.

Crystal structure
Unit cell a=7.355 b=7.355 c=3.033 alpha=90.00 beta=90.00 gamma=142.90
Fractional positions:
Gd: 0.000 0.000 0.000
Tc: 0.192 0.808 0.500
Tc: 0.344 0.656 0.000
Tc: 0.500 0.500 0.500
Tc: 0.656 0.344 0.000
Tc: 0.808 0.192 0.500

The 10 most intense peaks (15° ≤ 2θ ≤ 90°), in order of falling intensity:
- d = 2.232 Å, 2θ 40.40, intensity 100.0
- d = 2.340 Å, 2θ 38.47, intensity 31.2
- d = 2.324 Å, 2θ 38.74, intensity 21.8
- d = 1.329 Å, 2θ 70.90, intensity 18.4
- d = 1.649 Å, 2θ 55.75, intensity 14.9
- d = 1.324 Å, 2θ 71.25, intensity 9.1
- d = 1.270 Å, 2θ 74.76, intensity 8.8
- d = 1.273 Å, 2θ 74.57, intensity 8.6
- d = 1.116 Å, 2θ 87.36, intensity 8.3
- d = 1.516 Å, 2θ 61.11, intensity 7.9

[2]
Diffraction record for CoH3C6N6. The powder diffraction line list is theoretical, not measured: it uses a structure optimized by DFT (PBE) and Cu Kα.
Intensities are scaled so that the largest is 100.

Crystal structure
Unit cell a=6.525 b=6.525 c=5.555 alpha=90.00 beta=90.00 gamma=120.00
Fractional positions:
Co: 0.000 0.000 0.000
H: 0.000 0.500 0.500
H: 0.500 0.000 0.500
H: 0.500 0.500 0.500
C: 0.000 0.234 0.196
C: 0.000 0.766 0.804
C: 0.234 0.000 0.196
C: 0.234 0.234 0.804
C: 0.766 0.000 0.804
C: 0.766 0.766 0.196
N: 0.000 0.375 0.324
N: 0.000 0.625 0.676
N: 0.375 0.000 0.324
N: 0.375 0.375 0.676
N: 0.625 0.000 0.676
N: 0.625 0.625 0.324

The 10 most intense peaks (15° ≤ 2θ ≤ 90°), in order of falling intensity:
- d = 5.650 Å, 2θ 15.68, intensity 100.0
- d = 3.961 Å, 2θ 22.44, intensity 88.1
- d = 2.813 Å, 2θ 31.81, intensity 85.8
- d = 2.115 Å, 2θ 42.76, intensity 23.0
- d = 1.693 Å, 2θ 54.18, intensity 17.7
- d = 2.825 Å, 2θ 31.67, intensity 15.6
- d = 1.993 Å, 2θ 45.50, intensity 13.5
- d = 1.883 Å, 2θ 48.32, intensity 13.1
- d = 1.508 Å, 2θ 61.48, intensity 10.6
- d = 2.493 Å, 2θ 36.03, intensity 9.1